For Cs2KLaCl6, a crystal structure in the Materials Project, relaxed with GGA-PBE gives the computed X-ray diffraction stick pattern in this record (Cu Kα, 1.54184 Å).
Neutral-atom scattering factors, no anomalous dispersion.

Most intense lines, 10 to 90 degrees two-theta, by intensity:
two_theta	intensity
21.62	100
30.77	66
37.92	47
44.07	46
26.57	28
59.51	26
49.60	23
72.77	19
13.19	19
54.71	16
85.12	14
81.06	14

Structure:
Lattice parameters (Å, degrees): 8.2190 8.2190 8.2190 60.00 60.00 60.00
Positions (direct):
Cs1 0.2500 0.2500 0.2500
Cs2 0.7500 0.7500 0.7500
K1 0.0000 0.0000 0.0000
La1 0.5000 0.5000 0.5000
Cl1 0.2611 0.2611 0.7389
Cl2 0.2611 0.7389 0.2611
Cl3 0.2611 0.7389 0.7389
Cl4 0.7389 0.2611 0.2611
Cl5 0.7389 0.2611 0.7389
Cl6 0.7389 0.7389 0.2611